For Ba5Sb2P, DFT lattice parameters and positions (GGA-PBE) gives the calculated powder diffractogram in this record (CuKα).
Lines closer than 0.1° are merged.

Principal peaks in the range 2θ from 10° to 90°, sorted by position:
| d [Å] | intensity |
| --- | --- |
| 3.960 | 24 |
| 3.708 | 42 |
| 3.482 | 47 |
| 3.417 | 100 |
| 3.274 | 41 |
| 3.166 | 29 |
| 3.135 | 48 |
| 3.073 | 22 |
| 3.038 | 25 |
| 2.959 | 23 |
| 2.859 | 39 |
| 2.211 | 24 |

Crystal structure
Cell lengths 18.897, 8.109, 9.200 Å; angles 90.00, 94.43, 90.00 degrees
Space group C2/c (No. 15)
Inequivalent atoms, fractional coordinates:
Ba 0.000 0.075 0.250 (multiplicity 4)
Ba 0.092 0.376 0.923 (multiplicity 8)
Ba 0.219 0.071 0.309 (multiplicity 8)
Sb 0.101 0.214 0.568 (multiplicity 8)
P 0.250 0.250 0.000 (multiplicity 4)

***

For Ba2Sn2Sb2P, DFT lattice parameters and positions (GGA-PBE) gives the calculated powder diffractogram in this record (CuKα).
Lines closer than 0.1° are merged.

Principal peaks in the range 2θ from 10° to 90°, sorted by position:
| d [Å] | intensity |
| --- | --- |
| 4.143 | 20 |
| 3.238 | 87 |
| 3.215 | 100 |
| 3.212 | 97 |
| 2.858 | 28 |
| 2.842 | 61 |
| 2.735 | 22 |
| 2.425 | 29 |
| 2.414 | 31 |
| 2.383 | 23 |
| 2.175 | 41 |
| 1.725 | 28 |

Crystal structure
Cell lengths 4.350, 6.945, 8.709 Å; angles 75.47, 75.68, 72.10 degrees
Space group P-1 (No. 2)
Inequivalent atoms, fractional coordinates:
Ba 0.052 0.173 0.221 (multiplicity 2)
Sn 0.275 0.343 0.616 (multiplicity 2)
Sb 0.349 0.653 0.139 (multiplicity 2)
P 0.500 0.000 0.500 (multiplicity 1)

***

For BaScP2, DFT lattice parameters and positions (GGA-PBE) gives the calculated powder diffractogram in this record (CuKα).
Lines closer than 0.1° are merged.

Principal peaks in the range 2θ from 10° to 90°, sorted by position:
| d [Å] | intensity |
| --- | --- |
| 6.899 | 15 |
| 3.540 | 27 |
| 3.449 | 17 |
| 3.394 | 36 |
| 2.951 | 100 |
| 2.713 | 23 |
| 2.099 | 29 |
| 2.074 | 38 |
| 1.793 | 14 |
| 1.778 | 10 |
| 1.698 | 12 |
| 1.313 | 10 |

Crystal structure
Cell lengths 7.176, 4.154, 7.305 Å; angles 90.00, 109.21, 90.00 degrees
Space group C2/m (No. 12)
Inequivalent atoms, fractional coordinates:
Ba 0.000 0.000 0.000 (multiplicity 2)
Sc 0.000 0.500 0.500 (multiplicity 2)
P 0.229 0.000 0.686 (multiplicity 4)

***

For BaSc2P2, DFT lattice parameters and positions (GGA-PBE) gives the calculated powder diffractogram in this record (CuKα).
Lines closer than 0.1° are merged.

Principal peaks in the range 2θ from 10° to 90°, sorted by position:
| d [Å] | intensity |
| --- | --- |
| 4.150 | 47 |
| 3.349 | 23 |
| 3.121 | 100 |
| 2.803 | 96 |
| 2.283 | 28 |
| 2.182 | 41 |
| 1.828 | 16 |
| 1.809 | 36 |
| 1.788 | 38 |
| 1.578 | 17 |
| 1.352 | 19 |
| 1.174 | 22 |

Crystal structure
Cell lengths 4.365, 4.365, 13.396 Å; angles 90.00, 90.00, 90.00 degrees
Space group I4/mmm (No. 139)
Inequivalent atoms, fractional coordinates:
Ba 0.000 0.000 0.000 (multiplicity 2)
Sc 0.000 0.500 0.250 (multiplicity 4)
P 0.000 0.000 0.361 (multiplicity 4)

***

For Ba2PSe4, DFT lattice parameters and positions (GGA-PBE) gives the calculated powder diffractogram in this record (CuKα).
Lines closer than 0.1° are merged.

Principal peaks in the range 2θ from 10° to 90°, sorted by position:
| d [Å] | intensity |
| --- | --- |
| 3.517 | 27 |
| 3.183 | 57 |
| 3.163 | 55 |
| 3.069 | 28 |
| 2.900 | 22 |
| 2.885 | 21 |
| 2.778 | 100 |
| 2.428 | 40 |
| 2.344 | 47 |
| 1.758 | 16 |
| 1.690 | 17 |
| 1.424 | 15 |

Crystal structure
Cell lengths 6.754, 7.034, 9.593 Å; angles 90.00, 109.53, 90.00 degrees
Space group P2_1/m (No. 11)
Inequivalent atoms, fractional coordinates:
Ba 0.177 0.250 0.447 (multiplicity 2)
Ba 0.299 0.750 0.074 (multiplicity 2)
P 0.416 0.750 0.705 (multiplicity 2)
Se 0.242 0.250 0.106 (multiplicity 2)
Se 0.252 0.005 0.763 (multiplicity 4)
Se 0.275 0.750 0.429 (multiplicity 2)

***

For BaP2Se, DFT lattice parameters and positions (GGA-PBE) gives the calculated powder diffractogram in this record (CuKα).
Lines closer than 0.1° are merged.

Principal peaks in the range 2θ from 10° to 90°, sorted by position:
| d [Å] | intensity |
| --- | --- |
| 5.420 | 94 |
| 4.592 | 37 |
| 3.260 | 100 |
| 2.833 | 99 |
| 2.756 | 52 |
| 2.710 | 43 |
| 2.387 | 33 |
| 2.296 | 32 |
| 2.095 | 25 |
| 2.053 | 43 |
| 1.658 | 19 |
| 1.602 | 21 |

Crystal structure
Cell lengths 11.796, 4.191, 5.196 Å; angles 90.00, 113.23, 90.00 degrees
Space group C2/m (No. 12)
Inequivalent atoms, fractional coordinates:
Ba 0.000 0.000 0.000 (multiplicity 2)
P 0.209 0.500 0.445 (multiplicity 4)
Se 0.000 0.500 0.500 (multiplicity 2)

***

For Ba3P2Se8, DFT lattice parameters and positions (GGA-PBE) gives the calculated powder diffractogram in this record (CuKα).
Lines closer than 0.1° are merged.

Principal peaks in the range 2θ from 10° to 90°, sorted by position:
| d [Å] | intensity |
| --- | --- |
| 3.670 | 19 |
| 3.562 | 26 |
| 3.163 | 14 |
| 3.106 | 14 |
| 3.063 | 72 |
| 2.947 | 14 |
| 2.939 | 37 |
| 2.891 | 100 |
| 2.578 | 35 |
| 2.536 | 66 |
| 1.836 | 15 |
| 1.781 | 20 |

Crystal structure
Cell lengths 18.382, 6.985, 12.423 Å; angles 90.00, 90.22, 90.00 degrees
Space group P2_1/c (No. 14)
Inequivalent atoms, fractional coordinates:
Ba 0.078 0.026 0.329 (multiplicity 4)
Ba 0.245 0.571 0.473 (multiplicity 4)
Ba 0.420 0.505 0.148 (multiplicity 4)
P 0.138 0.524 0.166 (multiplicity 4)
P 0.361 0.045 0.333 (multiplicity 4)
Se 0.079 0.515 0.323 (multiplicity 4)
Se 0.080 0.735 0.062 (multiplicity 4)
Se 0.123 0.237 0.091 (multiplicity 4)
Se 0.247 0.647 0.201 (multiplicity 4)
Se 0.253 0.090 0.412 (multiplicity 4)
Se 0.374 0.046 0.155 (multiplicity 4)
Se 0.407 0.732 0.893 (multiplicity 4)
Se 0.432 0.222 0.897 (multiplicity 4)

***

For BaTl2P2Se7, DFT lattice parameters and positions (GGA-PBE) gives the calculated powder diffractogram in this record (CuKα).
Lines closer than 0.1° are merged.

Principal peaks in the range 2θ from 10° to 90°, sorted by position:
| d [Å] | intensity |
| --- | --- |
| 4.170 | 57 |
| 3.363 | 17 |
| 3.322 | 52 |
| 3.155 | 45 |
| 2.864 | 15 |
| 2.774 | 100 |
| 2.679 | 14 |
| 2.482 | 14 |
| 2.290 | 11 |
| 2.047 | 20 |
| 2.009 | 11 |
| 1.918 | 28 |

Crystal structure
Cell lengths 6.6439, 6.6439, 30.2670 Å; angles 90.00, 90.00, 120.00 degrees
Space group R32 (No. 155, hexagonal axes)
Inequivalent atoms, fractional coordinates:
Ba 0.0000 0.0000 0.0000 (multiplicity 3)
Tl 0.0000 0.0000 0.1816 (multiplicity 6)
P 0.0000 0.0000 0.4187 (multiplicity 6)
Se 0.0000 0.0000 0.5000 (multiplicity 3)
Se 0.0202 0.4077 0.9316 (multiplicity 18)